Record 1
The following is a simulated powder diffractogram of Li3PrTl. It was derived from the PBE geometry in Alexandria, using a wavelength of 1.5418 Å.
Neutral-atom scattering factors, no anomalous dispersion.

```
Li3PrTl
1.0
2.508 -14.489 0.000
2.508 14.489 0.000
0.000 0.000 3.436
Li Pr Tl
6 2 2
direct
0.046 0.954 0.000 Li
0.225 0.775 0.500 Li
0.441 0.559 0.500 Li
0.559 0.441 0.500 Li
0.775 0.225 0.500 Li
0.954 0.046 0.000 Li
0.332 0.668 0.000 Pr
0.668 0.332 0.000 Pr
0.121 0.879 0.500 Tl
0.879 0.121 0.500 Tl
```

Main lines, most intense first (2θ from 10° to 80°):
12.2°, I 1000; 32.9°, I 457; 23.5°, I 364; 33.1°, I 297; 31.7°, I 276; 36.0°, I 173; 35.8°, I 150; 38.0°, I 135; 45.9°, I 127; 59.6°, I 125


Record 2
The following is a simulated powder diffractogram of Pu2UTc. It was derived from the PBE geometry in Alexandria, using a wavelength of 1.5418 Å.
Neutral-atom scattering factors, no anomalous dispersion.

```
Pu2UTc
1.0
1.568 -6.000 0.000
1.568 6.000 0.000
0.000 0.000 8.330
Pu U Tc
4 2 2
direct
0.117 0.883 0.534 Pu
0.117 0.883 0.966 Pu
0.883 0.117 0.034 Pu
0.883 0.117 0.466 Pu
0.240 0.760 0.250 U
0.760 0.240 0.750 U
0.468 0.532 0.750 Tc
0.532 0.468 0.250 Tc
```

Main lines, most intense first (2θ from 10° to 80°):
36.9°, I 1000; 36.6°, I 650; 38.0°, I 472; 44.2°, I 375; 36.4°, I 340; 71.6°, I 308; 43.5°, I 260; 67.9°, I 258; 35.6°, I 258; 29.4°, I 244


Record 3
The following is a simulated powder diffractogram of Er3Mg3Sc2. It was derived from the PBE geometry in Alexandria, using a wavelength of 1.5418 Å.
Neutral-atom scattering factors, no anomalous dispersion.

```
Er3Mg3Sc2
1.0
-1.812 2.656 10.855
1.812 -2.656 10.855
1.812 2.656 -10.855
Er Mg Sc
3 3 2
direct
0.000 0.000 0.000 Er
0.370 0.870 0.500 Er
0.630 0.130 0.500 Er
0.121 0.621 0.500 Mg
0.500 0.500 0.000 Mg
0.879 0.379 0.500 Mg
0.237 0.237 0.000 Sc
0.763 0.763 0.000 Sc
```

Main lines, most intense first (2θ from 10° to 80°):
34.2°, I 1000; 20.7°, I 452; 24.9°, I 295; 33.7°, I 265; 33.0°, I 257; 26.5°, I 250; 60.7°, I 188; 47.9°, I 180; 59.7°, I 166; 42.4°, I 147


Record 4
The following is a simulated powder diffractogram of H6Pd5. It was derived from the PBE geometry in Alexandria, using a wavelength of 1.5418 Å.
Neutral-atom scattering factors, no anomalous dispersion.

```
H6Pd5
1.0
2.521 -4.292 0.000
2.521 4.292 0.000
-1.750 0.000 4.699
H Pd
6 5
direct
0.045 0.424 0.260 H
0.250 0.250 0.794 H
0.424 0.045 0.260 H
0.576 0.955 0.740 H
0.750 0.750 0.206 H
0.955 0.576 0.740 H
0.000 0.000 0.000 Pd
0.168 0.832 0.500 Pd
0.334 0.666 0.000 Pd
0.666 0.334 0.000 Pd
0.832 0.168 0.500 Pd
```

Main lines, most intense first (2θ from 10° to 80°):
38.3°, I 1000; 44.7°, I 448; 38.1°, I 338; 43.9°, I 256; 78.1°, I 162; 64.3°, I 147; 64.6°, I 145; 21.5°, I 119; 23.9°, I 97; 76.9°, I 88